[1]
Starting from DFT lattice parameters and positions (GGA-PBE), the XRD peak list of TlGaHgTe was calculated for CuKα.

Peak list (10 most intense, 2θ from 10° to 90°, in order of falling intensity)
d/Å, two_theta, I_rel
2.775, 32.3, 100
1.602, 57.5, 39
1.962, 46.3, 19
1.241, 76.8, 17
4.531, 19.6, 13
1.387, 67.5, 12
2.366, 38.0, 8
1.133, 85.8, 4
1.800, 50.7, 4
1.510, 61.4, 3

Atomic structure:
```
TlGaHgTe
1.0
7.848 0.000 0.000
0.000 7.848 0.000
0.000 0.000 7.848
Tl Ga Hg Te
4 4 4 4
direct
0.000 0.000 0.000
0.000 0.500 0.500
0.500 0.000 0.500
0.500 0.500 0.000
0.000 0.000 0.500
0.000 0.500 0.000
0.500 0.000 0.000
0.500 0.500 0.500
0.250 0.250 0.250
0.250 0.750 0.750
0.750 0.250 0.750
0.750 0.750 0.250
0.250 0.250 0.750
0.250 0.750 0.250
0.750 0.250 0.250
0.750 0.750 0.750
```

---

[2]
Starting from DFT lattice parameters and positions (GGA-PBE), the XRD peak list of Ti5Ga3Hg was calculated for CuKα.

Peak list (10 most intense, 2θ from 10° to 90°, in order of falling intensity)
d/Å, two_theta, I_rel
2.261, 39.9, 100
2.301, 39.1, 96
6.904, 12.8, 62
1.613, 57.1, 32
1.321, 71.4, 32
1.179, 81.7, 25
3.452, 25.8, 23
2.551, 35.2, 17
2.610, 34.4, 16
1.329, 70.9, 14

Atomic structure:
```
Ti5Ga3Hg
1.0
7.973 0.000 0.000
-3.986 6.904 0.000
0.000 0.000 5.491
Ti Ga Hg
10 6 2
direct
0.000 0.320 0.250
0.000 0.680 0.750
0.320 0.000 0.250
0.320 0.320 0.750
0.333 0.667 0.000
0.333 0.667 0.500
0.667 0.333 0.000
0.667 0.333 0.500
0.680 0.000 0.750
0.680 0.680 0.250
0.000 0.358 0.750
0.000 0.642 0.250
0.358 0.000 0.750
0.358 0.358 0.250
0.642 0.000 0.250
0.642 0.642 0.750
0.000 0.000 0.000
0.000 0.000 0.500
```

---

[3]
Starting from DFT lattice parameters and positions (GGA-PBE), the XRD peak list of Ti7Ga2Hg2 was calculated for CuKα.

Peak list (10 most intense, 2θ from 10° to 90°, in order of falling intensity)
d/Å, two_theta, I_rel
2.195, 41.1, 100
2.243, 40.2, 75
4.264, 20.8, 66
3.048, 29.3, 62
2.345, 38.4, 43
2.394, 37.6, 34
2.618, 34.3, 32
2.775, 32.3, 31
1.915, 47.5, 26
1.340, 70.2, 19

Atomic structure:
```
Ti7Ga2Hg2
1.0
-2.394 4.358 4.690
2.394 -4.358 4.690
2.394 4.358 -4.690
Ti Ga Hg
7 2 2
direct
0.000 0.000 0.000
0.042 0.218 0.824
0.394 0.218 0.176
0.500 0.254 0.754
0.500 0.746 0.246
0.606 0.782 0.824
0.958 0.782 0.176
0.233 0.733 0.500
0.767 0.267 0.500
0.202 0.500 0.702
0.798 0.500 0.298
```